1.
The following is a simulated X-ray diffraction stick pattern of LiPu5Cl12. It was derived from DFT lattice parameters and positions (GGA-PBE), using Cu Kα (λ = 1.5418 Å).
Intensities are scaled so that the largest is 100.

Cell and atoms:
```
LiPu5Cl12
1.0
7.194 0.000 0.000
3.596 6.256 0.000
0.563 -0.005 12.875
Li Pu Cl
1 5 12
direct
0.000 0.000 0.000 Li
0.165 0.669 0.500 Pu
0.333 0.333 0.000 Pu
0.498 0.003 0.500 Pu
0.667 0.667 0.000 Pu
0.832 0.335 0.499 Pu
0.008 0.322 0.891 Cl
0.155 0.003 0.616 Cl
0.176 0.335 0.383 Cl
0.312 0.000 0.108 Cl
0.329 0.678 0.891 Cl
0.490 0.335 0.616 Cl
0.509 0.669 0.383 Cl
0.670 0.322 0.109 Cl
0.688 0.000 0.892 Cl
0.821 0.668 0.616 Cl
0.841 0.002 0.383 Cl
0.992 0.679 0.109 Cl
```

The 10 most intense peaks (2θ = 5–70°), most intense first:
2theta, intensity
13.76, 100
25.50, 31
25.80, 30
32.78, 29
32.06, 28
24.77, 18
43.88, 17
28.98, 15
43.63, 15
27.90, 15



2.
The following is a simulated X-ray diffraction stick pattern of Li3Pu2Cl9. It was derived from DFT lattice parameters and positions (GGA-PBE), using Cu Kα (λ = 1.5418 Å).
Intensities are scaled so that the largest is 100.

Cell and atoms:
```
Li3Pu2Cl9
1.0
7.652 0.000 0.000
-3.826 6.627 0.000
0.000 0.000 13.171
Li Pu Cl
6 4 18
direct
0.094 0.773 0.250 Li
0.227 0.322 0.250 Li
0.322 0.094 0.750 Li
0.678 0.906 0.250 Li
0.773 0.678 0.750 Li
0.906 0.227 0.750 Li
0.333 0.667 0.572 Pu
0.333 0.667 0.928 Pu
0.667 0.333 0.072 Pu
0.667 0.333 0.428 Pu
0.071 0.679 0.078 Cl
0.071 0.679 0.422 Cl
0.110 0.724 0.750 Cl
0.276 0.386 0.750 Cl
0.321 0.393 0.078 Cl
0.321 0.393 0.422 Cl
0.386 0.110 0.250 Cl
0.393 0.071 0.578 Cl
0.393 0.071 0.922 Cl
0.607 0.929 0.078 Cl
0.607 0.929 0.422 Cl
0.614 0.890 0.750 Cl
0.679 0.607 0.578 Cl
0.679 0.607 0.922 Cl
0.724 0.614 0.250 Cl
0.890 0.276 0.250 Cl
0.929 0.321 0.578 Cl
0.929 0.321 0.922 Cl
```

The 10 most intense peaks (2θ = 5–70°), most intense first:
2theta, intensity
13.38, 100
33.89, 63
14.97, 57
41.51, 57
24.32, 52
26.94, 46
23.25, 33
40.85, 26
19.00, 23
64.91, 19



3.
The following is a simulated X-ray diffraction stick pattern of Li2Pu3Cl8. It was derived from DFT lattice parameters and positions (GGA-PBE), using Cu Kα (λ = 1.5418 Å).
Intensities are scaled so that the largest is 100.

Cell and atoms:
```
Li2Pu3Cl8
1.0
3.992 -7.970 0.000
3.992 7.970 0.000
0.000 0.000 11.285
Li Pu Cl
4 6 16
direct
0.124 0.876 0.882 Li
0.376 0.624 0.382 Li
0.624 0.376 0.618 Li
0.876 0.124 0.118 Li
0.000 0.000 0.500 Pu
0.114 0.386 0.750 Pu
0.386 0.114 0.250 Pu
0.500 0.500 0.000 Pu
0.614 0.886 0.750 Pu
0.886 0.614 0.250 Pu
0.003 0.997 0.247 Cl
0.123 0.365 0.999 Cl
0.135 0.377 0.501 Cl
0.241 0.759 0.749 Cl
0.259 0.741 0.249 Cl
0.365 0.123 0.001 Cl
0.377 0.135 0.499 Cl
0.497 0.503 0.747 Cl
0.503 0.497 0.253 Cl
0.623 0.865 0.501 Cl
0.635 0.877 0.999 Cl
0.741 0.259 0.751 Cl
0.759 0.241 0.251 Cl
0.865 0.623 0.499 Cl
0.877 0.635 0.001 Cl
0.997 0.003 0.753 Cl
```

The 10 most intense peaks (2θ = 5–70°), most intense first:
2theta, intensity
13.60, 100
31.72, 96
26.19, 74
45.47, 70
14.68, 41
34.66, 33
27.38, 31
47.67, 27
41.60, 26
56.50, 23



What is the formula in the second record? Li3Pu2Cl9



Copy entry 1 word for word.
The following is a simulated X-ray diffraction stick pattern of LiPu5Cl12. It was derived from DFT lattice parameters and positions (GGA-PBE), using Cu Kα (λ = 1.5418 Å).
Intensities are scaled so that the largest is 100.

Cell and atoms:
```
LiPu5Cl12
1.0
7.194 0.000 0.000
3.596 6.256 0.000
0.563 -0.005 12.875
Li Pu Cl
1 5 12
direct
0.000 0.000 0.000 Li
0.165 0.669 0.500 Pu
0.333 0.333 0.000 Pu
0.498 0.003 0.500 Pu
0.667 0.667 0.000 Pu
0.832 0.335 0.499 Pu
0.008 0.322 0.891 Cl
0.155 0.003 0.616 Cl
0.176 0.335 0.383 Cl
0.312 0.000 0.108 Cl
0.329 0.678 0.891 Cl
0.490 0.335 0.616 Cl
0.509 0.669 0.383 Cl
0.670 0.322 0.109 Cl
0.688 0.000 0.892 Cl
0.821 0.668 0.616 Cl
0.841 0.002 0.383 Cl
0.992 0.679 0.109 Cl
```

The 10 most intense peaks (2θ = 5–70°), most intense first:
2theta, intensity
13.76, 100
25.50, 31
25.80, 30
32.78, 29
32.06, 28
24.77, 18
43.88, 17
28.98, 15
43.63, 15
27.90, 15